Dy3Er2Sc4: theoretical powder diffraction line list (Cu Kα (λ = 1.5418 Å)), based on a cell relaxed with PBE.

Top 10 peaks for 2θ from 10° to 80°, low angle first:
2theta  intensity
18.72  20
22.29  21
29.67  24
31.85  52
31.96  62
32.45  47
33.14  100
39.56  57
52.08  19
58.33  19

Crystal structure
```
18
Lattice="7.9324 -5.5184 0.0000 7.9324 5.5184 0.0000 -0.6389 0.0000 5.7711" Properties=species:S:1:pos:R:3 pbc="T T T"
Dy 7.4533 4.3691 4.3284
Dy 4.7997 1.0814 5.1131
Dy 5.1192 -1.0814 2.2276
Dy 10.1068 1.0814 3.5436
Dy 10.4263 -1.0814 0.6580
Dy 7.7727 -4.3691 1.4428
Er 5.7873 3.9876 1.0756
Er 9.7582 3.9876 1.8099
Er 5.4678 -3.9876 3.9612
Er 9.4387 -3.9876 4.6955
Sc 3.3145 1.5535 1.9894
Sc 6.9476 1.5122 2.7559
Sc 2.9950 -1.5535 4.8749
Sc 8.5978 1.5122 0.1297
Sc 6.6282 -1.5122 5.6415
Sc 12.2310 1.5535 0.8962
Sc 8.2784 -1.5122 3.0152
Sc 11.9115 -1.5535 3.7818
```